Entry 1:
Structure and theoretical powder XRD pattern of Na2Al2Si3O14 (a crystal structure in the Materials Project, relaxed with PBE; Cu Kα (weighted mean of Kα1 and Kα2)).
Lines closer than 0.1° are merged.

Principal peaks in the range 15° ≤ 2θ ≤ 90°, sorted by position:
2θ (°), I (rel.)
21.3, 323
27.6, 495
28.1, 753
29.8, 1000
30.9, 822
31.3, 831
36.4, 341
37.2, 367

Structure:
a = 9.9824 Å, b = 9.7491 Å, c = 13.1112 Å
α = 49.12°, β = 47.60°, γ = 83.28°
Atoms (fractional coordinates):
Na: 0.0045 0.4955 0.0634
Na: 0.1866 0.8134 0.2455
Na: 0.4955 0.0045 0.4366
Na: 0.8134 0.1866 0.7545
Al: 0.0543 0.9397 0.6325
Al: 0.6175 0.8764 0.1957
Al: 0.8764 0.6175 0.3103
Al: 0.9397 0.0543 0.3736
Si: 0.0556 0.9350 0.8710
Si: 0.1116 0.3790 0.3150
Si: 0.3666 0.3666 0.6334
Si: 0.3790 0.1116 0.1944
Si: 0.6166 0.6166 0.8834
Si: 0.9350 0.0556 0.1384
O: 0.0084 0.5054 0.3585
O: 0.0119 0.2910 0.2940
O: 0.0393 0.1707 0.5294
O: 0.1224 0.8915 0.7446
O: 0.1653 0.2746 0.8663
O: 0.1707 0.0393 0.2606
O: 0.2746 0.1653 0.6938
O: 0.2910 0.0119 0.4032
O: 0.3837 0.5562 0.0847
O: 0.3881 0.6061 0.7460
O: 0.4183 0.5896 0.4440
O: 0.4741 0.5055 0.7606
O: 0.4894 0.9902 0.7759
O: 0.5040 0.9901 0.8619
O: 0.5054 0.0084 0.1276
O: 0.5055 0.4741 0.2598
O: 0.5562 0.3837 0.9754
O: 0.5896 0.4183 0.5481
O: 0.6061 0.3881 0.2599
O: 0.7019 0.8060 0.6604
O: 0.7206 0.9894 0.2107
O: 0.8060 0.7019 0.8317
O: 0.8468 0.9560 0.9590
O: 0.8915 0.1224 0.2416
O: 0.9560 0.8468 0.2381
O: 0.9894 0.7206 0.0793
O: 0.9902 0.4894 0.7445
O: 0.9901 0.5040 0.6439

---

Entry 2:
Structure and theoretical powder XRD pattern of Te2XeO2F10 (a crystal structure in the Materials Project, relaxed with PBE; Cu Kα (weighted mean of Kα1 and Kα2)).
Lines closer than 0.1° are merged.

Principal peaks in the range 15° ≤ 2θ ≤ 90°, sorted by position:
2θ (°), I (rel.)
19.3, 990
19.5, 709
20.5, 1000
23.3, 334
24.8, 464
25.0, 484
28.4, 312
33.3, 250

Structure:
a = 10.7177 Å, b = 9.8828 Å, c = 10.8829 Å
α = 90.00°, β = 106.97°, γ = 90.00°
Atoms (fractional coordinates):
Te: 0.1699 0.2042 0.1497
Te: 0.1699 0.2958 0.6497
Te: 0.3246 0.7147 0.3399
Te: 0.3246 0.7853 0.8399
Te: 0.6754 0.2147 0.1601
Te: 0.6754 0.2853 0.6601
Te: 0.8301 0.7042 0.3503
Te: 0.8301 0.7958 0.8503
Xe: 0.0000 0.0000 0.5000
Xe: 0.0000 0.5000 0.0000
Xe: 0.5000 0.0000 0.5000
Xe: 0.5000 0.5000 0.0000
O: 0.0466 0.1569 0.6485
O: 0.0466 0.3431 0.1485
O: 0.3206 0.6183 0.9263
O: 0.3206 0.8817 0.4263
O: 0.6794 0.1183 0.5737
O: 0.6794 0.3817 0.0737
O: 0.9534 0.6569 0.8515
O: 0.9534 0.8431 0.3515
F: 0.0779 0.0859 0.2271
F: 0.0779 0.4141 0.7271
F: 0.0785 0.1406 0.9854
F: 0.0785 0.3594 0.4854
F: 0.1757 0.7366 0.7063
F: 0.1757 0.7634 0.2063
F: 0.2163 0.6342 0.4267
F: 0.2163 0.8658 0.9267
F: 0.2711 0.1843 0.5746
F: 0.2711 0.3157 0.0746
F: 0.2741 0.2452 0.8143
F: 0.2741 0.2548 0.3143
F: 0.2915 0.0657 0.1576
F: 0.2915 0.4343 0.6576
F: 0.3227 0.5504 0.2524
F: 0.3227 0.9496 0.7524
F: 0.4325 0.7169 0.7448
F: 0.4325 0.7831 0.2448
F: 0.4740 0.6523 0.4655
F: 0.4740 0.8477 0.9655
F: 0.5260 0.1523 0.0345
F: 0.5260 0.3477 0.5345
F: 0.5675 0.2169 0.7552
F: 0.5675 0.2831 0.2552
F: 0.6773 0.0504 0.2476
F: 0.6773 0.4496 0.7476
F: 0.7085 0.5657 0.3424
F: 0.7085 0.9343 0.8424
F: 0.7259 0.7452 0.6857
F: 0.7259 0.7548 0.1857
F: 0.7289 0.6843 0.9254
F: 0.7289 0.8157 0.4254
F: 0.7837 0.1342 0.0733
F: 0.7837 0.3658 0.5733
F: 0.8243 0.2366 0.7937
F: 0.8243 0.2634 0.2937
F: 0.9215 0.6406 0.5146
F: 0.9215 0.8594 0.0146
F: 0.9221 0.5859 0.2729
F: 0.9221 0.9141 0.7729

---

Entry 3:
Structure and theoretical powder XRD pattern of HfMn6Sn6 (a crystal structure in the Materials Project, relaxed with PBE; Cu Kα (weighted mean of Kα1 and Kα2)).
Lines closer than 0.1° are merged.

Principal peaks in the range 15° ≤ 2θ ≤ 90°, sorted by position:
2θ (°), I (rel.)
33.2, 1000
35.6, 473
38.5, 277
38.9, 837
40.2, 261
43.7, 433
69.7, 286
72.2, 356

Structure:
a = 5.3987 Å, b = 5.3987 Å, c = 8.9734 Å
α = 90.00°, β = 90.00°, γ = 120.00°
Atoms (fractional coordinates):
Hf: 0.0000 0.0000 0.0000
Mn: 0.0000 0.5000 0.2469
Mn: 0.0000 0.5000 0.7531
Mn: 0.5000 0.0000 0.2469
Mn: 0.5000 0.0000 0.7531
Mn: 0.5000 0.5000 0.2469
Mn: 0.5000 0.5000 0.7531
Sn: 0.0000 0.0000 0.3268
Sn: 0.0000 0.0000 0.6732
Sn: 0.3333 0.6667 0.0000
Sn: 0.3333 0.6667 0.5000
Sn: 0.6667 0.3333 0.0000
Sn: 0.6667 0.3333 0.5000

---

Entry 4:
Structure and theoretical powder XRD pattern of MgSi2 (a crystal structure in the Materials Project, relaxed with PBE; Cu Kα (weighted mean of Kα1 and Kα2)).
Lines closer than 0.1° are merged.

Principal peaks in the range 15° ≤ 2θ ≤ 90°, sorted by position:
2θ (°), I (rel.)
34.0, 315
38.1, 307
38.8, 336
39.8, 302
39.9, 1000
40.3, 316
43.0, 328
43.7, 342

Structure:
a = 6.3765 Å, b = 7.2360 Å, c = 9.6197 Å
α = 92.86°, β = 105.52°, γ = 97.35°
Atoms (fractional coordinates):
Mg: 0.0333 0.2605 0.1965
Mg: 0.2870 0.5620 0.0373
Mg: 0.3319 0.0972 0.8690
Mg: 0.3635 0.8990 0.3566
Mg: 0.6365 0.1010 0.6434
Mg: 0.6681 0.9028 0.1310
Mg: 0.7130 0.4380 0.9627
Mg: 0.9667 0.7395 0.8035
Si: 0.0032 0.6466 0.2039
Si: 0.1580 0.9261 0.0757
Si: 0.1643 0.5537 0.4539
Si: 0.1875 0.1520 0.5275
Si: 0.2050 0.8468 0.6208
Si: 0.3385 0.4112 0.7224
Si: 0.4400 0.3376 0.4094
Si: 0.4510 0.2320 0.1665
Si: 0.5490 0.7680 0.8335
Si: 0.5600 0.6624 0.5906
Si: 0.6615 0.5888 0.2776
Si: 0.7950 0.1532 0.3792
Si: 0.8125 0.8480 0.4725
Si: 0.8357 0.4463 0.5461
Si: 0.8420 0.0739 0.9243
Si: 0.9968 0.3534 0.7961

---

Entry 5:
Structure and theoretical powder XRD pattern of AlO2 (a crystal structure in the Materials Project, relaxed with PBE; Cu Kα (weighted mean of Kα1 and Kα2)).
Lines closer than 0.1° are merged.

Principal peaks in the range 15° ≤ 2θ ≤ 90°, sorted by position:
2θ (°), I (rel.)
19.0, 197
20.8, 1000
37.3, 280
41.0, 299
43.1, 170
50.2, 159
53.2, 162
62.1, 152

Structure:
a = 9.3357 Å, b = 2.9189 Å, c = 4.8007 Å
α = 90.00°, β = 90.00°, γ = 90.00°
Atoms (fractional coordinates):
Al: 0.1621 0.2500 0.0555
Al: 0.3379 0.7500 0.5555
Al: 0.6621 0.2500 0.4445
Al: 0.8379 0.7500 0.9445
O: 0.0347 0.7500 0.8475
O: 0.2256 0.7500 0.2475
O: 0.2744 0.2500 0.7475
O: 0.4653 0.2500 0.3475
O: 0.5347 0.7500 0.6525
O: 0.7256 0.7500 0.2525
O: 0.7744 0.2500 0.7525
O: 0.9653 0.2500 0.1525

---

Entry 6:
Structure and theoretical powder XRD pattern of H2S (a crystal structure in the Materials Project, relaxed with PBE; Cu Kα (weighted mean of Kα1 and Kα2)).
Lines closer than 0.1° are merged.

Principal peaks in the range 15° ≤ 2θ ≤ 90°, sorted by position:
2θ (°), I (rel.)
26.1, 516
27.9, 1000
29.2, 210
37.2, 112
45.1, 132
47.1, 168
50.3, 119
52.9, 111

Structure:
a = 13.6555 Å, b = 13.6555 Å, c = 4.2804 Å
α = 90.00°, β = 90.00°, γ = 90.00°
Atoms (fractional coordinates):
H: 0.0572 0.6050 0.0027
H: 0.0604 0.1062 0.0000
H: 0.1049 0.4396 0.4960
H: 0.1062 0.9396 0.5000
H: 0.1287 0.6893 0.2996
H: 0.1315 0.1896 0.3006
H: 0.1871 0.3684 0.7941
H: 0.1896 0.8685 0.8006
H: 0.3107 0.1287 0.7996
H: 0.3127 0.6290 0.5117
H: 0.3684 0.8129 0.2941
H: 0.3710 0.3127 0.0117
H: 0.3950 0.0572 0.5027
H: 0.3958 0.5576 0.8069
H: 0.4396 0.8951 0.9960
H: 0.4424 0.3958 0.3069
H: 0.5576 0.6042 0.3069
H: 0.5604 0.1049 0.9960
H: 0.6042 0.4424 0.8069
H: 0.6050 0.9428 0.5027
H: 0.6290 0.6873 0.0117
H: 0.6316 0.1871 0.2941
H: 0.6873 0.3710 0.5117
H: 0.6893 0.8713 0.7996
H: 0.8104 0.1315 0.8006
H: 0.8129 0.6316 0.7941
H: 0.8685 0.8104 0.3006
H: 0.8713 0.3107 0.2996
H: 0.8938 0.0604 0.5000
H: 0.8951 0.5604 0.4960
H: 0.9396 0.8938 0.0000
H: 0.9428 0.3950 0.0027
S: 0.0982 0.3548 0.6615
S: 0.1021 0.8536 0.6591
S: 0.1444 0.6022 0.1558
S: 0.1464 0.1021 0.1591
S: 0.3548 0.9018 0.1615
S: 0.3567 0.4015 0.1453
S: 0.3978 0.1444 0.6558
S: 0.4015 0.6433 0.6453
S: 0.5985 0.3567 0.6453
S: 0.6022 0.8556 0.6558
S: 0.6433 0.5985 0.1453
S: 0.6452 0.0982 0.1615
S: 0.8536 0.8979 0.1591
S: 0.8556 0.3978 0.1558
S: 0.8979 0.1464 0.6591
S: 0.9018 0.6452 0.6615

---

Entry 7:
Structure and theoretical powder XRD pattern of AlSi2O6 (a crystal structure in the Materials Project, relaxed with PBE; Cu Kα (weighted mean of Kα1 and Kα2)).
Lines closer than 0.1° are merged.

Principal peaks in the range 15° ≤ 2θ ≤ 90°, sorted by position:
2θ (°), I (rel.)
18.4, 385
19.5, 416
20.0, 532
20.3, 1000
22.1, 495
27.7, 782
36.3, 573
60.8, 285

Structure:
a = 5.2799 Å, b = 5.2799 Å, c = 19.3592 Å
α = 92.18°, β = 92.18°, γ = 120.01°
Atoms (fractional coordinates):
Al: 0.1446 0.3220 0.0000
Al: 0.3220 0.1446 0.5000
Al: 0.6780 0.8554 0.5000
Al: 0.8554 0.6780 0.0000
Si: 0.0561 0.1961 0.6412
Si: 0.1139 0.5992 0.8590
Si: 0.1961 0.0561 0.1412
Si: 0.4008 0.8861 0.6410
Si: 0.5992 0.1139 0.3590
Si: 0.8039 0.9439 0.8588
Si: 0.8861 0.4008 0.1410
Si: 0.9439 0.8039 0.3588
O: 0.0157 0.1201 0.5564
O: 0.0338 0.7371 0.1736
O: 0.0661 0.2535 0.1739
O: 0.0871 0.5877 0.9437
O: 0.1201 0.0157 0.0564
O: 0.2173 0.5464 0.6600
O: 0.2535 0.0661 0.6739
O: 0.2629 0.9662 0.3264
O: 0.3906 0.4870 0.4550
O: 0.4123 0.9129 0.5563
O: 0.4536 0.7827 0.8400
O: 0.4870 0.3906 0.9550
O: 0.5130 0.6094 0.0450
O: 0.5464 0.2173 0.1600
O: 0.5877 0.0871 0.4437
O: 0.6094 0.5130 0.5450
O: 0.7371 0.0338 0.6736
O: 0.7465 0.9339 0.3261
O: 0.7827 0.4536 0.3400
O: 0.8799 0.9843 0.9436
O: 0.9129 0.4123 0.0563
O: 0.9339 0.7465 0.8261
O: 0.9662 0.2629 0.8264
O: 0.9843 0.8799 0.4436

---

Entry 8:
Structure and theoretical powder XRD pattern of SrYSi4N7 (a crystal structure in the Materials Project, relaxed with PBE; Cu Kα (weighted mean of Kα1 and Kα2)).
Lines closer than 0.1° are merged.

Principal peaks in the range 15° ≤ 2θ ≤ 90°, sorted by position:
2θ (°), I (rel.)
29.5, 625
32.1, 1000
34.7, 865
35.4, 648
53.9, 350
55.7, 271
58.4, 328
61.2, 347

Structure:
a = 6.0615 Å, b = 6.0615 Å, c = 9.8881 Å
α = 90.00°, β = 90.00°, γ = 120.00°
Atoms (fractional coordinates):
Sr: 0.3333 0.6667 0.0000
Sr: 0.6667 0.3333 0.5000
Y: 0.3333 0.6667 0.3691
Y: 0.6667 0.3333 0.8691
Si: 0.0000 0.0000 0.4461
Si: 0.0000 0.0000 0.9461
Si: 0.1740 0.3480 0.6784
Si: 0.1740 0.8260 0.6784
Si: 0.3480 0.1740 0.1784
Si: 0.6520 0.8260 0.6784
Si: 0.8260 0.1740 0.1784
Si: 0.8260 0.6520 0.1784
N: 0.0000 0.0000 0.2553
N: 0.0000 0.0000 0.7553
N: 0.0231 0.5116 0.7304
N: 0.1529 0.3058 0.5059
N: 0.1529 0.8471 0.5059
N: 0.3058 0.1529 0.0059
N: 0.4884 0.5116 0.7304
N: 0.4884 0.9769 0.7304
N: 0.5116 0.0231 0.2304
N: 0.5116 0.4884 0.2304
N: 0.6942 0.8471 0.5059
N: 0.8471 0.1529 0.0059
N: 0.8471 0.6942 0.0059
N: 0.9769 0.4884 0.2304